Record 1
# AsRuRh
Computed powder diffraction line list, Cu Kα. Input: a crystal structure in Alexandria, relaxed with GGA-PBE.
Intensities are scaled so that the largest is 100.

Lattice parameters (Å, degrees): 4.558 4.558 4.558 142.93 127.52 65.98
Fractional positions:
As 0.000 0.000 0.000
Ru 0.323 0.323 0.000
Rh 0.678 0.678 0.000

Most intense lines, 2θ from 10° to 90°, by intensity:
2theta  I_rel
38.3  100
41.9  75
47.5  52
67.5  35
45.0  31
79.8  22
87.0  16
78.5  12
81.9  11
80.9  11



Record 2
# Pm3GeB2Rh9
Computed powder diffraction line list, Cu Kα. Input: a crystal structure in Alexandria, relaxed with GGA-PBE.
Intensities are scaled so that the largest is 100.

Lattice parameters (Å, degrees): 6.149 6.149 7.593 90.00 90.00 120.00
Fractional positions:
Pm 0.000 0.000 0.000
Pm 0.333 0.667 0.664
Pm 0.667 0.333 0.336
Ge 0.000 0.000 0.500
B 0.333 0.667 0.146
B 0.667 0.333 0.854
Rh 0.000 0.500 0.000
Rh 0.178 0.356 0.313
Rh 0.178 0.822 0.313
Rh 0.356 0.178 0.687
Rh 0.500 0.000 0.000
Rh 0.500 0.500 0.000
Rh 0.644 0.822 0.313
Rh 0.822 0.178 0.687
Rh 0.822 0.644 0.687

Most intense lines, 2θ from 10° to 90°, by intensity:
2theta  I_rel
35.7  100
41.4  85
35.5  32
60.2  27
59.8  26
71.8  23
75.7  13
72.0  12
71.5  11
28.9  6



Record 3
# Mn3AlRh4
Computed powder diffraction line list, Cu Kα. Input: a crystal structure in Alexandria, relaxed with GGA-PBE.
Intensities are scaled so that the largest is 100.

Lattice parameters (Å, degrees): 3.030 4.278 8.579 90.00 90.00 90.00
Fractional positions:
Mn 0.000 0.000 0.000
Mn 0.000 0.500 0.250
Mn 0.000 0.500 0.750
Al 0.000 0.000 0.500
Rh 0.500 0.000 0.254
Rh 0.500 0.000 0.746
Rh 0.500 0.500 0.000
Rh 0.500 0.500 0.500

Most intense lines, 2θ from 10° to 90°, by intensity:
2theta  I_rel
42.2  100
29.5  22
42.3  20
61.2  19
77.2  19
77.1  19
69.3  7
52.3  6
69.5  1
10.3  1



Record 4
# Tb5Tm4In4
Computed powder diffraction line list, Cu Kα. Input: a crystal structure in Alexandria, relaxed with GGA-PBE.
Intensities are scaled so that the largest is 100.

Lattice parameters (Å, degrees): 8.983 8.983 8.983 94.51 94.51 147.44
Fractional positions:
Tb 0.000 0.000 0.000
Tb 0.312 0.597 0.909
Tb 0.403 0.312 0.714
Tb 0.597 0.688 0.286
Tb 0.688 0.403 0.091
Tm 0.096 0.395 0.491
Tm 0.395 0.904 0.298
Tm 0.605 0.096 0.702
Tm 0.904 0.605 0.509
In 0.105 0.764 0.869
In 0.236 0.105 0.341
In 0.764 0.895 0.659
In 0.895 0.236 0.131

Most intense lines, 2θ from 10° to 90°, by intensity:
2theta  I_rel
31.9  100
35.7  23
37.6  18
61.7  15
52.8  14
35.2  11
58.0  11
28.2  8
68.3  8
32.8  8



Record 5
# Sr2Ge2Se5
Computed powder diffraction line list, Cu Kα. Input: a crystal structure in Alexandria, relaxed with GGA-PBE.
Intensities are scaled so that the largest is 100.

Lattice parameters (Å, degrees): 8.589 12.467 12.232 90.00 130.53 90.00
Fractional positions:
Sr 0.011 0.162 0.467
Sr 0.011 0.338 0.967
Sr 0.465 0.699 0.524
Sr 0.465 0.801 0.024
Sr 0.535 0.199 0.976
Sr 0.535 0.301 0.476
Sr 0.989 0.662 0.033
Sr 0.989 0.838 0.533
Ge 0.158 0.050 0.164
Ge 0.158 0.450 0.664
Ge 0.485 0.019 0.687
Ge 0.485 0.481 0.187
Ge 0.515 0.519 0.813
Ge 0.515 0.981 0.313
Ge 0.842 0.550 0.336
Ge 0.842 0.950 0.836
Se 0.062 0.206 0.219
Se 0.062 0.294 0.719
Se 0.097 0.090 0.940
Se 0.097 0.410 0.440
Se 0.251 0.558 0.957
Se 0.251 0.942 0.457
Se 0.325 0.509 0.288
Se 0.325 0.991 0.788
Se 0.485 0.712 0.797
Se 0.485 0.788 0.297
Se 0.515 0.212 0.703
Se 0.515 0.288 0.203
Se 0.675 0.009 0.212
Se 0.675 0.491 0.712
Se 0.749 0.058 0.543
Se 0.749 0.442 0.043
Se 0.903 0.590 0.560
Se 0.903 0.910 0.060
Se 0.938 0.706 0.281
Se 0.938 0.794 0.781

Most intense lines, 2θ from 10° to 90°, by intensity:
2theta  I_rel
30.2  100
30.9  51
30.5  47
25.5  43
31.1  41
32.2  38
34.6  30
31.8  29
32.7  29
27.3  27



Record 6
# V6Ru2W
Computed powder diffraction line list, Cu Kα. Input: a crystal structure in Alexandria, relaxed with GGA-PBE.
Intensities are scaled so that the largest is 100.

Lattice parameters (Å, degrees): 4.296 4.296 7.780 90.00 90.00 120.00
Fractional positions:
V 0.000 0.000 0.162
V 0.000 0.000 0.838
V 0.333 0.667 0.387
V 0.333 0.667 0.728
V 0.667 0.333 0.272
V 0.667 0.333 0.613
Ru 0.333 0.667 0.069
Ru 0.667 0.333 0.931
W 0.000 0.000 0.500

Most intense lines, 2θ from 10° to 90°, by intensity:
2theta  I_rel
42.1  100
42.5  95
26.6  48
61.3  31
77.2  30
76.9  16
78.0  15
33.3  14
22.9  12
48.4  11